Starting from a DFT-relaxed cell (PBE, Alexandria), the powder X-ray diffraction pattern of Ca2AcCdN was computed for λ = 1.5418 Å (Cu Kα).
Intensities are scaled so that the largest is 100.

Top 12 peaks for 2θ = 15–90°, by angle:
(0 0 2), 15.6°, d = 5.666 Å, I = 38
(1 1 0), 18.1°, d = 4.892 Å, I = 15
(2 0 0), 25.8°, d = 3.459 Å, I = 32
(2 0 2), 30.3°, d = 2.952 Å, I = 100
(0 0 4), 31.6°, d = 2.833 Å, I = 24
(2 2 0), 36.7°, d = 2.447 Å, I = 42
(2 2 2), 40.2°, d = 2.246 Å, I = 17
(2 0 4), 41.2°, d = 2.191 Å, I = 21
(2 2 4), 49.2°, d = 1.851 Å, I = 27
(4 0 0), 52.9°, d = 1.730 Å, I = 17
(2 0 6), 55.4°, d = 1.658 Å, I = 16
(4 2 2), 62.2°, d = 1.492 Å, I = 25

Atomic structure:
Lattice parameters (Å, degrees): 6.9182 6.9182 11.3328 90.00 90.00 90.00
Space group I4cm (No. 108)
One atom of each set of equivalent atoms:
Ca 0.2342 0.2658 0.0000 (multiplicity 8)
Ac 0.0000 0.0000 0.2373 (multiplicity 4)
Cd 0.0000 0.5000 0.2610 (multiplicity 4)
N 0.0000 0.0000 0.0252 (multiplicity 4)